Computed XRD peak list of PuThSnHg for Cu Kα X-rays, from a structure optimized by DFT (GGA-PBE).
Intensities are scaled so that the largest is 100.

The 8 most intense peaks (10 to 80 degrees two-theta), by intensity:
| d (Å) | 2θ (°) | I/Imax | index |
| --- | --- | --- | --- |
| 2.564 | 35.00 | 100.0 | 1 0 2 |
| 2.886 | 30.99 | 69.4 | 1 1 0 |
| 1.597 | 57.74 | 48.9 | 2 1 2 |
| 2.041 | 44.40 | 26.5 | 2 0 0 |
| 1.431 | 65.20 | 16.5 | 1 1 4 |
| 1.291 | 73.36 | 12.4 | 3 1 0 |
| 1.282 | 73.93 | 11.6 | 2 0 4 |
| 1.257 | 75.63 | 11.3 | 3 0 2 |

Structure:
```
data_PuThSnHg
_chemical_formula_sum 'Pu1 Th1 Sn1 Hg1'
_cell_length_a 4.0810
_cell_length_b 4.0810
_cell_length_c 6.5912
_cell_angle_alpha 90.00
_cell_angle_beta 90.00
_cell_angle_gamma 90.00
_symmetry_space_group_name_H-M 'P 4 m m'
_symmetry_Int_Tables_number 99
loop_
_symmetry_equiv_pos_as_xyz
'x,y,z'
'-y,x,z'
'-x,-y,z'
'y,-x,z'
'-x,y,z'
'y,x,z'
'x,-y,z'
'-y,-x,z'
loop_
_atom_site_label
_atom_site_fract_x
_atom_site_fract_y
_atom_site_fract_z
Pu1 0.0000 0.0000 0.0000
Th1 0.0000 0.0000 0.5213
Sn1 0.5000 0.5000 0.7637
Hg1 0.5000 0.5000 0.2541
```

***

Computed XRD peak list of SrPuHg6 for Cu Kα X-rays, from a structure optimized by DFT (GGA-PBE).
Intensities are scaled so that the largest is 100.

The 8 most intense peaks (10 to 80 degrees two-theta), by intensity:
| d (Å) | 2θ (°) | I/Imax | index |
| --- | --- | --- | --- |
| 2.590 | 34.64 | 100.0 | 1 2 1 |
| 2.515 | 35.71 | 41.6 | 1 0 2 |
| 2.662 | 33.67 | 35.5 | 2 0 0 |
| 2.964 | 30.15 | 21.5 | 0 2 1 |
| 1.522 | 60.84 | 20.2 | 3 2 1 |
| 1.413 | 66.12 | 19.1 | 2 2 3 |
| 1.668 | 55.06 | 17.2 | 0 2 3 |
| 1.428 | 65.36 | 14.7 | 1 4 2 |

Structure:
```
data_SrPuHg6
_chemical_formula_sum 'Sr1 Pu1 Hg6'
_cell_length_a 5.3231
_cell_length_b 6.9386
_cell_length_c 5.7059
_cell_angle_alpha 90.00
_cell_angle_beta 90.00
_cell_angle_gamma 90.00
_symmetry_space_group_name_H-M 'P m m 2'
_symmetry_Int_Tables_number 25
loop_
_symmetry_equiv_pos_as_xyz
'x,y,z'
'-x,-y,z'
'-x,y,z'
'x,-y,z'
loop_
_atom_site_label
_atom_site_fract_x
_atom_site_fract_y
_atom_site_fract_z
Sr1 0.0000 0.0000 0.0000
Pu1 0.5000 0.5000 0.3175
Hg1 0.0000 0.2625 0.4914
Hg2 0.0000 0.5000 0.9879
Hg3 0.5000 0.0000 0.3652
Hg4 0.5000 0.2636 0.8269
```

***

Computed XRD peak list of TbPuHg5 for Cu Kα X-rays, from a structure optimized by DFT (GGA-PBE).
Intensities are scaled so that the largest is 100.

The 8 most intense peaks (10 to 80 degrees two-theta), by intensity:
| d (Å) | 2θ (°) | I/Imax | index |
| --- | --- | --- | --- |
| 2.630 | 34.09 | 100.0 | 1 1 2 |
| 2.386 | 37.69 | 19.3 | 0 2 0 |
| 2.272 | 39.66 | 16.2 | 0 0 4 |
| 1.420 | 65.75 | 15.4 | 1 3 2 |
| 2.188 | 41.26 | 15.1 | 2 0 0 |
| 1.371 | 68.42 | 12.7 | 1 1 6 |
| 1.334 | 70.64 | 12.5 | 3 1 2 |
| 1.646 | 55.87 | 12.1 | 0 2 4 |

Structure:
```
data_TbPuHg5
_chemical_formula_sum 'Tb1 Pu1 Hg5'
_cell_length_a 4.3758
_cell_length_b 4.7728
_cell_length_c 9.0897
_cell_angle_alpha 90.00
_cell_angle_beta 90.00
_cell_angle_gamma 90.00
_symmetry_space_group_name_H-M 'P m m m'
_symmetry_Int_Tables_number 47
loop_
_symmetry_equiv_pos_as_xyz
'x,y,z'
'-x,-y,-z'
'-x,-y,z'
'x,y,-z'
'x,-y,-z'
'-x,y,z'
'-x,y,-z'
'x,-y,z'
loop_
_atom_site_label
_atom_site_fract_x
_atom_site_fract_y
_atom_site_fract_z
Tb1 0.0000 0.0000 0.0000
Pu1 0.5000 0.5000 0.5000
Hg1 0.0000 0.5000 0.2476
Hg2 0.5000 0.0000 0.2645
Hg3 0.5000 0.5000 0.0000
```